[1]
The following is a calculated PXRD pattern of Li2CuPO4. It was derived from a crystal structure in the Materials Project, relaxed with PBE, using copper Kα.
Kinematic intensities with the Lorentz-polarization factor, no thermal factor.

Top 8 peaks for 15 to 90 degrees two-theta, in order of rising 2θ:
22.08°, 4.025 Å, I = 89
27.11°, 3.289 Å, I = 33
28.26°, 3.158 Å, I = 56
33.25°, 2.695 Å, I = 39
33.47°, 2.677 Å, I = 32
33.78°, 2.654 Å, I = 100
36.92°, 2.435 Å, I = 27
39.73°, 2.269 Å, I = 38

Atomic structure:
```
Li2CuPO4
1.0
3.6431 -3.8734 0.0000
3.6431 3.8734 0.0000
-0.0627 0.0000 6.2283
Li Cu P O
4 2 2 8
direct
0.1787 0.8213 0.0000
0.3170 0.3170 0.7399
0.6830 0.6830 0.2601
0.8213 0.1787 0.0000
0.1909 0.8091 0.5000
0.8091 0.1909 0.5000
0.3240 0.3240 0.2344
0.6760 0.6760 0.7656
0.1982 0.1982 0.0319
0.2086 0.2086 0.4446
0.2931 0.6145 0.2330
0.3855 0.7069 0.7670
0.6145 0.2931 0.2330
0.7069 0.3855 0.7670
0.7914 0.7914 0.5554
0.8018 0.8018 0.9681
```

=====

[2]
The following is a calculated PXRD pattern of LiCu5P2O8. It was derived from a crystal structure in the Materials Project, relaxed with PBE, using copper Kα.
Kinematic intensities with the Lorentz-polarization factor, no thermal factor.

Top 8 peaks for 15 to 90 degrees two-theta, in order of rising 2θ:
32.27°, 2.774 Å, I = 90
33.29°, 2.691 Å, I = 33
34.84°, 2.575 Å, I = 100
36.52°, 2.460 Å, I = 56
37.07°, 2.425 Å, I = 63
37.71°, 2.385 Å, I = 78
58.84°, 1.569 Å, I = 35
64.33°, 1.448 Å, I = 41

Atomic structure:
```
LiCu5P2O8
1.0
5.1518 0.0000 0.0000
0.0982 5.5508 0.0000
0.0645 0.2240 6.2782
Li Cu P O
1 5 2 8
direct
0.0000 0.0000 0.0000
0.0294 0.5800 0.7463
0.0302 0.9690 0.5114
0.4733 0.6758 0.0001
0.4846 0.0713 0.2568
0.4943 0.6837 0.5087
0.5016 0.1574 0.7575
0.9758 0.4781 0.2437
0.0728 0.6363 0.0457
0.0862 0.2171 0.2343
0.0897 0.6040 0.4410
0.2008 0.1432 0.7599
0.5971 0.4202 0.7544
0.6183 0.0275 0.5578
0.6196 0.0186 0.9582
0.6755 0.4820 0.2523
```

=====

[3]
The following is a calculated PXRD pattern of Li2CuPO4. It was derived from a crystal structure in the Materials Project, relaxed with PBE, using copper Kα.
Kinematic intensities with the Lorentz-polarization factor, no thermal factor.

Top 8 peaks for 15 to 90 degrees two-theta, in order of rising 2θ:
18.56°, 4.780 Å, I = 50
21.84°, 4.069 Å, I = 65
22.74°, 3.910 Å, I = 100
28.08°, 3.177 Å, I = 46
33.25°, 2.695 Å, I = 56
35.60°, 2.522 Å, I = 84
37.63°, 2.390 Å, I = 47
38.01°, 2.368 Å, I = 46

Atomic structure:
```
Li2CuPO4
1.0
5.4286 0.0000 0.0000
-0.0364 6.1879 0.0000
-0.0054 -0.0058 10.0881
Li Cu P O
8 4 4 16
direct
0.0000 0.0000 0.0000
0.0000 0.0008 0.5026
0.3060 0.5013 0.2522
0.3098 0.5016 0.7509
0.4801 0.2535 0.5036
0.4828 0.2552 0.0002
0.8264 0.2467 0.7501
0.8287 0.7546 0.7499
0.4859 0.7447 0.5043
0.4942 0.7436 0.0014
0.8134 0.2455 0.2584
0.8128 0.7570 0.2546
0.3247 0.0060 0.2533
0.3255 0.0057 0.7547
0.9820 0.4966 0.5113
0.9837 0.4961 0.9975
0.0544 0.0023 0.7028
0.0595 0.0027 0.1937
0.2492 0.4871 0.4537
0.2537 0.4872 0.9441
0.3189 0.0139 0.4077
0.3247 0.0126 0.9098
0.4528 0.7915 0.2079
0.4576 0.2119 0.1967
0.4654 0.7954 0.7107
0.4662 0.2093 0.7004
0.8343 0.2916 0.4635
0.8371 0.2928 0.9483
0.8570 0.7104 0.4613
0.8585 0.7076 0.9447
0.9819 0.4995 0.6650
0.9934 0.5005 0.1528
```

=====

[4]
The following is a calculated PXRD pattern of Li2CuPO4. It was derived from a crystal structure in the Materials Project, relaxed with PBE, using copper Kα.
Kinematic intensities with the Lorentz-polarization factor, no thermal factor.

Top 8 peaks for 15 to 90 degrees two-theta, in order of rising 2θ:
23.94°, 3.718 Å, I = 100
28.66°, 3.114 Å, I = 34
33.36°, 2.686 Å, I = 19
33.78°, 2.653 Å, I = 39
34.44°, 2.604 Å, I = 42
37.68°, 2.387 Å, I = 23
40.82°, 2.211 Å, I = 15
41.24°, 2.189 Å, I = 15

Atomic structure:
```
Li2CuPO4
1.0
10.6162 0.0000 0.0000
0.0000 6.2284 0.0000
0.0000 0.0000 5.2084
Li Cu P O
8 4 4 16
direct
0.1613 0.0021 0.1941
0.1613 0.4979 0.1941
0.3387 0.5021 0.6941
0.3387 0.9979 0.6941
0.6613 0.0021 0.3059
0.6613 0.4979 0.3059
0.8387 0.5021 0.8059
0.8387 0.9979 0.8059
0.1075 0.7500 0.7535
0.3925 0.2500 0.2535
0.6075 0.7500 0.7465
0.8925 0.2500 0.2465
0.0874 0.2500 0.6861
0.4126 0.7500 0.1861
0.5874 0.2500 0.8139
0.9126 0.7500 0.3139
0.0529 0.7500 0.2375
0.1012 0.2500 0.3893
0.1576 0.0497 0.8022
0.1576 0.4503 0.8022
0.3424 0.5497 0.3022
0.3424 0.9503 0.3022
0.3988 0.7500 0.8893
0.4471 0.2500 0.7375
0.5529 0.7500 0.2625
0.6012 0.2500 0.1107
0.6576 0.0497 0.6978
0.6576 0.4503 0.6978
0.8424 0.5497 0.1978
0.8424 0.9503 0.1978
0.8988 0.7500 0.6107
0.9471 0.2500 0.7625
```